[1]
Theoretical powder diffractogram
Compound: TbGdP2O8
Radiation: Cu Kα, 1.54184 Å
Structure: a DFT-relaxed cell (GGA-PBE, the Materials Project)

Top 10 peaks for 5 to 70 degrees two-theta, in order of rising 2θ:
| index | two_theta | d [Å] | I/Imax |
| --- | --- | --- | --- |
| 1 0 1 | 19.25 | 4.612 | 56 |
| 2 0 0 | 25.38 | 3.510 | 100 |
| 2 1 1 | 32.05 | 2.793 | 25 |
| 1 1 2 | 34.44 | 2.604 | 66 |
| 2 2 0 | 36.20 | 2.482 | 21 |
| 3 0 1 | 41.31 | 2.185 | 21 |
| 3 2 1 | 49.11 | 1.855 | 21 |
| 3 1 2 | 50.83 | 1.796 | 53 |
| 4 0 0 | 52.12 | 1.755 | 14 |
| 3 3 2 | 63.98 | 1.455 | 15 |

Structural model:
```
data_TbGdP2O8
_chemical_formula_sum 'Tb2 Gd2 P4 O16'
_cell_length_a 7.0190
_cell_length_b 7.0190
_cell_length_c 6.1173
_cell_angle_alpha 90.00
_cell_angle_beta 90.00
_cell_angle_gamma 90.00
_symmetry_space_group_name_H-M 'I -4 m 2'
_symmetry_Int_Tables_number 119
_symmetry_space_group_name_Hall 'I -4 -2'
loop_
_atom_site_label
_atom_site_type_symbol
_atom_site_fract_x
_atom_site_fract_y
_atom_site_fract_z
Tb1 Tb 0.0000 0.0000 0.0000
Gd1 Gd 0.0000 0.5000 0.2500
P1 P 0.0000 0.0000 0.5000
P2 P 0.0000 0.5000 0.7500
O1 O 0.0000 0.1729 0.3411
O2 O 0.0000 0.3256 0.9073
```



[2]
Theoretical powder diffractogram
Compound: GdPaO4
Radiation: Cu Kα, 1.54184 Å
Structure: a DFT-relaxed cell (GGA-PBE, the Materials Project)

Top 10 peaks for 5 to 70 degrees two-theta, in order of rising 2θ:
| index | two_theta | d [Å] | I/Imax |
| --- | --- | --- | --- |
| 1 0 1 | 18.24 | 4.863 | 5 |
| 1 1 2 | 28.46 | 3.136 | 100 |
| 2 0 0 | 32.91 | 2.722 | 23 |
| 0 0 4 | 33.12 | 2.705 | 11 |
| 2 2 0 | 47.23 | 1.925 | 17 |
| 2 0 4 | 47.38 | 1.919 | 34 |
| 3 1 2 | 56.07 | 1.640 | 31 |
| 1 1 6 | 56.34 | 1.633 | 15 |
| 2 2 4 | 58.89 | 1.568 | 10 |
| 4 0 0 | 69.01 | 1.361 | 5 |

Structural model:
```
data_GdPaO4
_chemical_formula_sum 'Gd4 Pa4 O16'
_cell_length_a 5.4434
_cell_length_b 5.4434
_cell_length_c 10.8194
_cell_angle_alpha 90.00
_cell_angle_beta 90.00
_cell_angle_gamma 90.00
_symmetry_space_group_name_H-M 'I 41/a m d'
_symmetry_Int_Tables_number 141
loop_
_symmetry_equiv_pos_as_xyz
'x,y,z'
'-x,-y,-z'
'-y+1/4,x+3/4,z+1/4'
'y+1/4,-x+3/4,-z+1/4'
'-x+1/2,-y,z+1/2'
'x+1/2,y,-z+1/2'
'y+1/4,-x+1/4,z+3/4'
'-y+1/4,x+1/4,-z+3/4'
'x,-y,-z'
'-x,y,z'
'-y+1/4,-x+1/4,-z+3/4'
'y+1/4,x+1/4,z+3/4'
'-x+1/2,y,-z+1/2'
'x+1/2,-y,z+1/2'
'y+1/4,x+3/4,-z+1/4'
'-y+1/4,-x+3/4,z+1/4'
'x+1/2,y+1/2,z+1/2'
'-x+1/2,-y+1/2,-z+1/2'
'-y+3/4,x+1/4,z+3/4'
'y+3/4,-x+1/4,-z+3/4'
'-x,-y+1/2,z'
'x,y+1/2,-z'
'y+3/4,-x+3/4,z+1/4'
'-y+3/4,x+3/4,-z+1/4'
'x+1/2,-y+1/2,-z+1/2'
'-x+1/2,y+1/2,z+1/2'
'-y+3/4,-x+3/4,-z+1/4'
'y+3/4,x+3/4,z+1/4'
'-x,y+1/2,-z'
'x,-y+1/2,z'
'y+3/4,x+1/4,-z+3/4'
'-y+3/4,-x+1/4,z+3/4'
loop_
_atom_site_label
_atom_site_type_symbol
_atom_site_fract_x
_atom_site_fract_y
_atom_site_fract_z
Gd1 Gd 0.0000 0.2500 0.3750
Pa1 Pa 0.0000 0.2500 0.8750
O1 O 0.2357 0.0000 0.0000
```



[3]
Theoretical powder diffractogram
Compound: GdPd2O4
Radiation: Cu Kα, 1.54184 Å
Structure: a DFT-relaxed cell (GGA-PBE, the Materials Project)

Top 10 peaks for 5 to 70 degrees two-theta, in order of rising 2θ:
| index | two_theta | d [Å] | I/Imax |
| --- | --- | --- | --- |
| 1 1 2 | 27.75 | 3.215 | 27 |
| 1 0 3 | 30.39 | 2.941 | 41 |
| 2 0 0 | 30.53 | 2.929 | 7 |
| 2 1 1 | 35.37 | 2.538 | 100 |
| 1 0 5 | 47.19 | 1.926 | 24 |
| 1 3 2 | 52.57 | 1.741 | 14 |
| 3 0 3 | 54.17 | 1.693 | 13 |
| 2 2 4 | 57.31 | 1.608 | 24 |
| 3 2 1 | 57.44 | 1.604 | 16 |
| 4 0 0 | 63.54 | 1.464 | 8 |

Structural model:
```
data_GdPd2O4
_chemical_formula_sum 'Gd4 Pd8 O16'
_cell_length_a 5.8570
_cell_length_b 5.8570
_cell_length_c 10.2026
_cell_angle_alpha 90.00
_cell_angle_beta 90.00
_cell_angle_gamma 90.00
_symmetry_space_group_name_H-M 'I 41/a'
_symmetry_Int_Tables_number 88
loop_
_symmetry_equiv_pos_as_xyz
'x,y,z'
'-x,-y,-z'
'-y+3/4,x+1/4,z+1/4'
'y+3/4,-x+1/4,-z+1/4'
'-x+1/2,-y,z+1/2'
'x+1/2,y,-z+1/2'
'y+3/4,-x+3/4,z+3/4'
'-y+3/4,x+3/4,-z+3/4'
'x+1/2,y+1/2,z+1/2'
'-x+1/2,-y+1/2,-z+1/2'
'-y+1/4,x+3/4,z+3/4'
'y+1/4,-x+3/4,-z+3/4'
'-x,-y+1/2,z'
'x,y+1/2,-z'
'y+1/4,-x+1/4,z+1/4'
'-y+1/4,x+1/4,-z+1/4'
loop_
_atom_site_label
_atom_site_type_symbol
_atom_site_fract_x
_atom_site_fract_y
_atom_site_fract_z
Gd1 Gd 0.0000 0.2500 0.1250
Pd1 Pd 0.0000 0.0000 0.5000
O1 O 0.1559 0.0569 0.3238
```



[4]
Theoretical powder diffractogram
Compound: Gd2ZnPtO6
Radiation: Cu Kα, 1.54184 Å
Structure: a DFT-relaxed cell (GGA-PBE, the Materials Project)

Top 10 peaks for 5 to 70 degrees two-theta, in order of rising 2θ:
| index | two_theta | d [Å] | I/Imax |
| --- | --- | --- | --- |
| 0 1 1 | 19.06 | 4.656 | 11 |
| 1 1 -2 | 25.22 | 3.531 | 13 |
| 0 2 0 | 30.83 | 2.901 | 20 |
| 1 1 -3 | 32.21 | 2.779 | 100 |
| 2 0 -2 | 33.07 | 2.709 | 24 |
| 2 2 -2 | 45.83 | 1.980 | 17 |
| 0 0 4 | 46.55 | 1.951 | 13 |
| 1 3 0 | 51.53 | 1.774 | 11 |
| 3 1 -1 | 58.48 | 1.578 | 12 |
| 3 1 -5 | 58.58 | 1.576 | 12 |

Structural model:
```
data_Gd2ZnPtO6
_chemical_formula_sum 'Gd4 Zn2 Pt2 O12'
_cell_length_a 5.4182
_cell_length_b 5.8012
_cell_length_c 9.4904
_cell_angle_alpha 90.00
_cell_angle_beta 124.68
_cell_angle_gamma 90.00
_symmetry_space_group_name_H-M 'P 1 21/c 1'
_symmetry_Int_Tables_number 14
loop_
_symmetry_equiv_pos_as_xyz
'x,y,z'
'-x,-y,-z'
'-x,y+1/2,-z+1/2'
'x,-y+1/2,z+1/2'
loop_
_atom_site_label
_atom_site_type_symbol
_atom_site_fract_x
_atom_site_fract_y
_atom_site_fract_z
Gd1 Gd 0.2230 0.0720 0.2465
Zn1 Zn 0.0000 0.0000 0.5000
Pt1 Pt 0.5000 0.0000 0.0000
O1 O 0.1363 0.1914 0.9447
O2 O 0.2495 0.7029 0.9353
O3 O 0.3749 0.0483 0.7540
```



[5]
Theoretical powder diffractogram
Compound: RbGdO2
Radiation: Cu Kα, 1.54184 Å
Structure: a DFT-relaxed cell (GGA-PBE, the Materials Project)

Top 10 peaks for 5 to 70 degrees two-theta, in order of rising 2θ:
| index | two_theta | d [Å] | I/Imax |
| --- | --- | --- | --- |
| 0 0 3 | 13.46 | 6.577 | 30 |
| 0 0 6 | 27.11 | 3.289 | 41 |
| 0 1 2 | 30.27 | 2.953 | 83 |
| 1 0 4 | 34.20 | 2.621 | 100 |
| 0 1 8 | 47.12 | 1.929 | 35 |
| 1 1 0 | 51.12 | 1.787 | 32 |
| 1 0 10 | 55.21 | 1.664 | 20 |
| 1 1 6 | 58.82 | 1.570 | 29 |
| 2 0 2 | 60.57 | 1.529 | 12 |
| 0 2 4 | 62.96 | 1.476 | 16 |

Structural model:
```
data_RbGdO2
_chemical_formula_sum 'Rb3 Gd3 O6'
_cell_length_a 3.5734
_cell_length_b 3.5734
_cell_length_c 19.7321
_cell_angle_alpha 90.00
_cell_angle_beta 90.00
_cell_angle_gamma 120.00
_symmetry_space_group_name_H-M 'R -3 m'
_symmetry_Int_Tables_number 166
_symmetry_space_group_name_Hall '-R 3 2"'
loop_
_atom_site_label
_atom_site_type_symbol
_atom_site_fract_x
_atom_site_fract_y
_atom_site_fract_z
Rb1 Rb 0.0000 0.0000 0.0000
Gd1 Gd 0.0000 0.0000 0.5000
O1 O 0.0000 0.0000 0.2258
```



[6]
Theoretical powder diffractogram
Compound: RbGdO3
Radiation: Cu Kα, 1.54184 Å
Structure: a DFT-relaxed cell (GGA-PBE, the Materials Project)

Top 8 peaks for 5 to 70 degrees two-theta, in order of rising 2θ:
| index | two_theta | d [Å] | I/Imax |
| --- | --- | --- | --- |
| 1 0 0 | 19.85 | 4.472 | 17 |
| 1 1 0 | 28.22 | 3.162 | 100 |
| 2 0 0 | 40.34 | 2.236 | 32 |
| 2 1 0 | 45.35 | 2.000 | 8 |
| 2 1 1 | 49.95 | 1.826 | 42 |
| 2 2 0 | 58.36 | 1.581 | 20 |
| 3 0 0 | 62.28 | 1.491 | 4 |
| 3 1 0 | 66.07 | 1.414 | 18 |

Structural model:
```
data_RbGdO3
_chemical_formula_sum 'Rb1 Gd1 O3'
_cell_length_a 4.4721
_cell_length_b 4.4721
_cell_length_c 4.4721
_cell_angle_alpha 90.00
_cell_angle_beta 90.00
_cell_angle_gamma 90.00
_symmetry_space_group_name_H-M 'P m -3 m'
_symmetry_Int_Tables_number 221
_symmetry_space_group_name_Hall '-P 4 2 3'
loop_
_atom_site_label
_atom_site_type_symbol
_atom_site_fract_x
_atom_site_fract_y
_atom_site_fract_z
Rb1 Rb 0.0000 0.0000 0.0000
Gd1 Gd 0.5000 0.5000 0.5000
O1 O 0.0000 0.5000 0.5000
```



[7]
Theoretical powder diffractogram
Compound: RbGdS2O9
Radiation: Cu Kα, 1.54184 Å
Structure: a DFT-relaxed cell (GGA-PBE, the Materials Project)

Top 10 peaks for 5 to 70 degrees two-theta, in order of rising 2θ:
| index | two_theta | d [Å] | I/Imax |
| --- | --- | --- | --- |
| 0 1 1 | 13.96 | 6.342 | 100 |
| 1 1 0 | 14.08 | 6.292 | 44 |
| 2 0 0 | 19.26 | 4.608 | 27 |
| 0 2 1 | 22.73 | 3.912 | 27 |
| 1 0 2 | 24.86 | 3.582 | 27 |
| 1 2 1 | 26.35 | 3.382 | 97 |
| 1 1 2 | 26.97 | 3.306 | 67 |
| 2 1 -3 | 28.35 | 3.148 | 28 |
| 3 1 -2 | 28.64 | 3.117 | 80 |
| 3 2 1 | 40.57 | 2.224 | 25 |

Structural model:
```
data_RbGdS2O9
_chemical_formula_sum 'Rb4 Gd4 S8 O36'
_cell_length_a 10.3011
_cell_length_b 8.6109
_cell_length_c 10.4801
_cell_angle_alpha 90.00
_cell_angle_beta 116.53
_cell_angle_gamma 90.00
_symmetry_space_group_name_H-M 'P 1 21/c 1'
_symmetry_Int_Tables_number 14
loop_
_symmetry_equiv_pos_as_xyz
'x,y,z'
'-x,-y,-z'
'-x,y+1/2,-z+1/2'
'x,-y+1/2,z+1/2'
loop_
_atom_site_label
_atom_site_type_symbol
_atom_site_fract_x
_atom_site_fract_y
_atom_site_fract_z
Rb1 Rb 0.2209 0.1689 0.1817
Gd1 Gd 0.2459 0.6348 0.0266
S1 S 0.0585 0.6328 0.1852
S2 S 0.4852 0.6931 0.8847
O1 O 0.0619 0.7480 0.5813
O2 O 0.0882 0.7057 0.3234
O3 O 0.0886 0.0610 0.3726
O4 O 0.1698 0.5149 0.1977
O5 O 0.3478 0.6231 0.5661
O6 O 0.3592 0.5985 0.8709
O7 O 0.3935 0.0954 0.6085
O8 O 0.4409 0.7022 0.2574
O9 O 0.4602 0.2113 0.9824
```



[8]
Theoretical powder diffractogram
Compound: Gd3ReO8
Radiation: Cu Kα, 1.54184 Å
Structure: a DFT-relaxed cell (GGA-PBE, the Materials Project)

Top 10 peaks for 5 to 70 degrees two-theta, in order of rising 2θ:
| index | two_theta | d [Å] | I/Imax |
| --- | --- | --- | --- |
| 1 0 -4 | 24.42 | 3.645 | 10 |
| 1 1 -4 | 28.51 | 3.131 | 22 |
| 0 2 0 | 29.25 | 3.053 | 30 |
| 2 0 -4 | 29.36 | 3.042 | 16 |
| 2 1 0 | 29.86 | 2.992 | 100 |
| 2 2 -4 | 41.92 | 2.155 | 12 |
| 2 0 4 | 43.54 | 2.078 | 13 |
| 1 0 -8 | 49.87 | 1.829 | 10 |
| 0 3 4 | 52.25 | 1.751 | 18 |
| 2 2 4 | 53.34 | 1.717 | 17 |

Structural model:
```
data_Gd3ReO8
_chemical_formula_sum 'Gd12 Re4 O32'
_cell_length_a 7.3710
_cell_length_b 6.1058
_cell_length_c 14.7328
_cell_angle_alpha 90.00
_cell_angle_beta 111.32
_cell_angle_gamma 90.00
_symmetry_space_group_name_H-M 'P 1 21/c 1'
_symmetry_Int_Tables_number 14
loop_
_symmetry_equiv_pos_as_xyz
'x,y,z'
'-x,-y,-z'
'-x,y+1/2,-z+1/2'
'x,-y+1/2,z+1/2'
loop_
_atom_site_label
_atom_site_type_symbol
_atom_site_fract_x
_atom_site_fract_y
_atom_site_fract_z
Gd1 Gd 0.0954 0.2414 0.2015
Gd2 Gd 0.1603 0.2009 0.4453
Gd3 Gd 0.3928 0.6907 0.3326
Re1 Re 0.3213 0.7461 0.0903
O1 O 0.0879 0.6963 0.9811
O2 O 0.1474 0.0284 0.8412
O3 O 0.1685 0.6481 0.1695
O4 O 0.1858 0.5282 0.8270
O5 O 0.2487 0.0434 0.0964
O6 O 0.3786 0.0523 0.5884
O7 O 0.4692 0.2054 0.7877
O8 O 0.4751 0.6965 0.5205
```



What is the formula in the eighth record? Gd3ReO8